Record 1
Diffraction record for Li2Tl2PdO6. The powder diffractogram is theoretical, not measured: it uses a cell relaxed with GGA-PBE and copper Kα.
Peak positions follow from Bragg's law for the DFT cell and can differ from measured ones.

Top 12 peaks for 10 to 80 degrees two-theta, sorted by position:
2θ 17.51, I 1000, (0 0 1); 2θ 31.19, I 423, (1 3 0); 2θ 32.13, I 163, (2 0 0); 2θ 32.86, I 225, (2 0 -1); 2θ 34.01, I 259, (1 3 -1); 2θ 35.44, I 119, (0 0 2); 2θ 37.87, I 397, (1 3 1); 2θ 42.22, I 149, (2 0 -2); 2θ 44.79, I 167, (1 3 -2); 2θ 50.90, I 141, (1 3 2); 2θ 55.80, I 118, (3 3 -1); 2θ 56.70, I 145, (3 3 0)

Structure:
abc: 5.7318 10.0348 5.2105
angles: 90.00 103.56 90.00
Space group C2/m (No. 12)
Symmetry-distinct sites (fractional):
Li  0.0000  0.1248  0.0000 x4
Tl  0.0000  0.3360  0.5000 x4
Pd  0.0000  0.0000  0.5000 x2
O  0.1872  0.1501  0.7206 x8
O  0.2384  0.0000  0.2714 x4

=====

Record 2
Diffraction record for Li2ZnPdO4. The powder diffractogram is theoretical, not measured: it uses a cell relaxed with GGA-PBE and copper Kα.
Peak positions follow from Bragg's law for the DFT cell and can differ from measured ones.

Top 12 peaks for 10 to 80 degrees two-theta, sorted by position:
2θ 18.25, I 1000, (1 0 0); 2θ 34.30, I 196, (1 0 -2); 2θ 34.63, I 349, (0 1 1); 2θ 36.02, I 91, (0 0 2); 2θ 36.26, I 175, (1 1 -1); 2θ 42.03, I 235, (2 0 -2); 2θ 42.37, I 460, (1 1 1); 2θ 46.43, I 145, (2 1 -1); 2θ 56.35, I 104, (2 1 1); 2θ 60.56, I 142, (1 1 -3); 2θ 61.85, I 198, (3 1 -1); 2θ 63.82, I 126, (0 1 3)

Structure:
abc: 5.1782 3.0309 5.3125
angles: 90.00 110.15 90.00
Space group P2/m (No. 10)
Symmetry-distinct sites (fractional):
Li  0.0000  0.0000  0.0000 x1
Li  0.0000  0.5000  0.5000 x1
Zn  0.5000  0.0000  0.5000 x1
Pd  0.5000  0.5000  0.0000 x1
O  0.2643  0.0000  0.7754 x2
O  0.2678  0.5000  0.2469 x2

=====

Record 3
Diffraction record for LiPm5O8. The powder diffractogram is theoretical, not measured: it uses a cell relaxed with GGA-PBE and copper Kα.
Peak positions follow from Bragg's law for the DFT cell and can differ from measured ones.

Top 12 peaks for 10 to 80 degrees two-theta, sorted by position:
2θ 17.21, I 350, (1 1 0); 2θ 24.36, I 144, (2 0 0); 2θ 30.01, I 1000, (1 2 1); 2θ 30.17, I 691, (1 1 2); 2θ 39.00, I 712, (3 1 0); 2θ 39.36, I 222, (1 0 3); 2θ 46.54, I 270, (2 3 1); 2θ 46.83, I 276, (2 1 3); 2θ 56.44, I 194, (4 0 2); 2θ 56.82, I 158, (2 0 4); 2θ 59.60, I 234, (3 2 3); 2θ 65.11, I 249, (1 5 0)

Structure:
abc: 7.3067 7.3067 7.2322
angles: 90.00 90.00 90.00
Space group I-4 (No. 82)
Symmetry-distinct sites (fractional):
Li  0.0000  0.0000  0.0000 x2
Pm  0.0000  0.5000  0.2500 x2
Pm  0.1443  0.2519  0.6318 x8
O  0.0650  0.3172  0.9476 x8
O  0.0726  0.1921  0.3215 x8

=====

Record 4
Diffraction record for LiPmO2. The powder diffractogram is theoretical, not measured: it uses a cell relaxed with GGA-PBE and copper Kα.
Peak positions follow from Bragg's law for the DFT cell and can differ from measured ones.

Top 12 peaks for 10 to 80 degrees two-theta, sorted by position:
2θ 21.10, I 912, (1 1 -1); 2θ 21.36, I 1000, (1 1 0); 2θ 30.26, I 251, (1 1 -2); 2θ 30.85, I 738, (0 0 2); 2θ 31.08, I 249, (2 0 -2); 2θ 31.80, I 213, (2 0 0); 2θ 32.87, I 525, (0 2 1); 2θ 40.18, I 442, (2 2 -1); 2θ 44.32, I 216, (1 1 2); 2θ 46.86, I 176, (1 3 -1); 2θ 51.03, I 158, (2 2 -3); 2θ 52.01, I 264, (2 2 1)

Structure:
abc: 6.5343 6.1775 6.7263
angles: 90.00 120.55 90.00
Space group P2_1/c (No. 14)
Symmetry-distinct sites (fractional):
Li  0.1887  0.1647  0.2830 x4
Pm  0.2761  0.6350  0.2410 x4
O  0.0543  0.6051  0.8191 x4
O  0.4734  0.1909  0.8530 x4

=====

Record 5
Diffraction record for LiPmPtO4. The powder diffractogram is theoretical, not measured: it uses a cell relaxed with GGA-PBE and copper Kα.
Peak positions follow from Bragg's law for the DFT cell and can differ from measured ones.

Top 12 peaks for 10 to 80 degrees two-theta, sorted by position:
2θ 15.74, I 1000, (0 1 1); 2θ 17.11, I 398, (1 0 1); 2θ 29.81, I 212, (1 2 1); 2θ 31.78, I 333, (0 2 2); 2θ 32.08, I 273, (2 1 1); 2θ 32.98, I 157, (0 1 3); 2θ 34.62, I 263, (2 0 2); 2θ 37.19, I 418, (2 2 0); 2θ 41.17, I 168, (0 0 4); 2θ 47.85, I 139, (2 3 1); 2θ 56.67, I 239, (2 2 4); 2θ 61.93, I 134, (2 4 2)

Structure:
abc: 6.4227 7.3469 8.7703
angles: 90.00 90.00 90.00
Space group Imma (No. 74)
Symmetry-distinct sites (fractional):
Li  0.0000  0.2500  0.0537 x4
Pm  0.0000  0.0000  0.5000 x4
Pt  0.2500  0.2500  0.7500 x4
O  0.0000  0.0704  0.7666 x8
O  0.2272  0.2500  0.5132 x8

=====

Record 6
Diffraction record for LiPm2PtO5. The powder diffractogram is theoretical, not measured: it uses a cell relaxed with GGA-PBE and copper Kα.
Peak positions follow from Bragg's law for the DFT cell and can differ from measured ones.

Top 12 peaks for 10 to 80 degrees two-theta, sorted by position:
2θ 18.59, I 636, (1 1 0); 2θ 24.11, I 217, (1 1 1); 2θ 29.59, I 156, (2 1 0); 2θ 30.64, I 1000, (0 0 2); 2θ 33.43, I 395, (2 1 1); 2θ 36.14, I 147, (1 1 2); 2θ 37.69, I 169, (2 2 0); 2θ 43.17, I 295, (2 1 2); 2θ 45.24, I 433, (3 1 1); 2θ 49.37, I 154, (2 2 2); 2θ 54.54, I 147, (2 0 3); 2θ 64.93, I 143, (3 1 3)

Structure:
abc: 6.7510 6.7510 5.8232
angles: 90.00 90.00 90.00
Space group P4/mbm (No. 127)
Symmetry-distinct sites (fractional):
Li  0.0000  0.0000  0.0000 x2
Pm  0.1765  0.3235  0.5000 x4
Pt  0.0000  0.5000  0.0000 x2
O  0.0000  0.0000  0.5000 x2
O  0.1366  0.6366  0.2543 x8

=====

> Which formula does entry 6 have?

LiPm2PtO5

=====

> What is the formula in the fourth record?

LiPmO2